Record 1
The following is a theoretical powder diffractogram of CuHgSCl. It was derived from DFT lattice parameters and positions (GGA-PBE), using Cu Ka.

Top 12 peaks for 10° ≤ 2θ ≤ 90°, in order of rising 2θ:
2θ/deg	intensity
13.09	35.6
20.24	42.9
21.91	30.5
23.98	29.4
25.61	100.0
28.52	45.5
29.12	32.4
30.00	58.1
34.52	96.3
35.98	26.2
42.52	30.1
44.68	34.0

Atomic structure:
Cell: 9.9855 18.3990 4.0562 Å, 90.00 90.00 90.00°
Atoms (fractional coordinates):
Cu (0.0638, 0.0723, 0.0000)
Cu (0.0987, 0.6227, 0.0000)
Cu (0.4013, 0.1227, 0.0000)
Cu (0.4362, 0.5723, 0.0000)
Cu (0.5638, 0.4277, 0.0000)
Cu (0.5987, 0.8773, 0.0000)
Cu (0.9013, 0.3773, 0.0000)
Cu (0.9362, 0.9277, 0.0000)
Hg (0.0246, 0.2354, 0.5000)
Hg (0.2424, 0.3921, 0.5000)
Hg (0.2576, 0.8921, 0.5000)
Hg (0.4754, 0.7354, 0.5000)
Hg (0.5246, 0.2646, 0.5000)
Hg (0.7424, 0.1079, 0.5000)
Hg (0.7576, 0.6079, 0.5000)
Hg (0.9754, 0.7646, 0.5000)
S (0.0037, 0.3670, 0.5000)
S (0.0129, 0.8959, 0.5000)
S (0.4871, 0.3959, 0.5000)
S (0.4963, 0.8670, 0.5000)
S (0.5037, 0.1330, 0.5000)
S (0.5129, 0.6041, 0.5000)
S (0.9871, 0.1041, 0.5000)
S (0.9963, 0.6330, 0.5000)
Cl (0.2323, 0.5165, 0.0000)
Cl (0.2503, 0.2253, 0.0000)
Cl (0.2497, 0.7253, 0.0000)
Cl (0.2677, 0.0165, 0.0000)
Cl (0.7323, 0.9835, 0.0000)
Cl (0.7503, 0.2747, 0.0000)
Cl (0.7497, 0.7747, 0.0000)
Cl (0.7677, 0.4835, 0.0000)

***

Record 2
The following is a theoretical powder diffractogram of ErNbRu2. It was derived from DFT lattice parameters and positions (GGA-PBE), using Cu Ka.

Top 12 peaks for 10° ≤ 2θ ≤ 90°, in order of rising 2θ:
2θ/deg	intensity
23.59	5.2
27.30	1.7
38.99	100.0
46.08	2.9
48.26	0.5
56.33	16.9
61.91	1.2
63.70	0.7
70.63	33.9
75.64	1.0
83.75	10.8
88.55	1.0

Atomic structure:
Cell: 4.6196 4.6196 4.6196 Å, 60.00 60.00 60.00°
Atoms (fractional coordinates):
Er (0.0000, 0.0000, 0.0000)
Nb (0.5000, 0.5000, 0.5000)
Ru (0.2500, 0.2500, 0.2500)
Ru (0.7500, 0.7500, 0.7500)

***

Record 3
The following is a theoretical powder diffractogram of Ba8Ni6N7. It was derived from DFT lattice parameters and positions (GGA-PBE), using Cu Ka.

Top 12 peaks for 10° ≤ 2θ ≤ 90°, in order of rising 2θ:
2θ/deg	intensity
25.43	31.5
27.42	84.3
28.16	74.1
28.30	79.1
29.22	100.0
30.07	61.1
30.92	75.1
31.35	91.1
31.99	88.7
32.23	51.0
33.32	42.2
33.72	40.2

Atomic structure:
Cell: 9.6721 9.6721 12.0941 Å, 98.40 98.40 120.48°
Atoms (fractional coordinates):
Ba (0.0826, 0.9174, 0.7500)
Ba (0.1169, 0.2964, 0.5989)
Ba (0.2320, 0.6365, 0.8967)
Ba (0.2472, 0.7528, 0.2500)
Ba (0.2964, 0.1169, 0.0989)
Ba (0.3635, 0.7680, 0.6033)
Ba (0.3820, 0.4465, 0.3572)
Ba (0.4465, 0.3820, 0.8572)
Ba (0.5535, 0.6180, 0.1428)
Ba (0.6180, 0.5535, 0.6428)
Ba (0.6365, 0.2320, 0.3967)
Ba (0.7036, 0.8831, 0.9011)
Ba (0.7528, 0.2472, 0.7500)
Ba (0.7680, 0.3635, 0.1033)
Ba (0.8831, 0.7036, 0.4011)
Ba (0.9174, 0.0826, 0.2500)
Ni (0.0408, 0.4572, 0.3675)
Ni (0.0594, 0.2176, 0.8858)
Ni (0.1280, 0.3660, 0.1011)
Ni (0.2176, 0.0594, 0.3858)
Ni (0.3660, 0.1280, 0.6011)
Ni (0.4572, 0.0408, 0.8675)
Ni (0.5428, 0.9592, 0.1325)
Ni (0.6340, 0.8720, 0.3989)
Ni (0.7824, 0.9406, 0.6142)
Ni (0.8720, 0.6340, 0.8989)
Ni (0.9406, 0.7824, 0.1142)
Ni (0.9592, 0.5428, 0.6325)
N (0.0000, 0.5000, 0.5000)
N (0.0689, 0.4074, 0.2288)
N (0.0849, 0.9151, 0.2500)
N (0.2463, 0.3625, 0.9999)
N (0.3625, 0.2463, 0.4999)
N (0.4074, 0.0689, 0.7288)
N (0.4070, 0.5930, 0.7500)
N (0.5000, 0.0000, 0.0000)
N (0.5930, 0.4070, 0.2500)
N (0.5926, 0.9311, 0.2712)
N (0.6375, 0.7537, 0.5001)
N (0.7537, 0.6375, 0.0001)
N (0.9151, 0.0849, 0.7500)
N (0.9311, 0.5926, 0.7712)